No. 1
Structure and simulated PXRD pattern of PAu2I6 (a structure optimized by DFT (PBE); Cu Kα (λ = 1.5418 Å)).
Lines closer than 0.1° are merged.

The 8 most intense peaks (2θ = 5–70°), by angle:
2θ (°), intensity
17.2, 18
20.5, 100
28.1, 16
31.5, 23
34.1, 17
37.8, 14
41.4, 13
41.7, 12

Cell and atoms:
a b c (Å): 7.2942 7.5924 13.7407
angles (deg): 90.00 104.52 90.00
Fractional positions:
P 0.0000 0.0000 0.0000
P 0.0000 0.5000 0.5000
Au 0.3379 0.1175 0.8357
Au 0.3379 0.3825 0.3357
Au 0.6621 0.6175 0.6643
Au 0.6621 0.8825 0.1643
I 0.1026 0.1910 0.4249
I 0.1026 0.3090 0.9249
I 0.2412 0.6895 0.4165
I 0.2412 0.8105 0.9165
I 0.4314 0.0645 0.2664
I 0.4314 0.4355 0.7664
I 0.5686 0.5645 0.2336
I 0.5686 0.9355 0.7336
I 0.7588 0.1895 0.0835
I 0.7588 0.3105 0.5835
I 0.8974 0.6910 0.0751
I 0.8974 0.8090 0.5751

No. 2
Structure and simulated PXRD pattern of PAuI3 (a structure optimized by DFT (PBE); Cu Kα (λ = 1.5418 Å)).
Lines closer than 0.1° are merged.

The 8 most intense peaks (2θ = 5–70°), by angle:
2θ (°), intensity
8.0, 57
11.8, 100
18.0, 42
18.3, 39
18.8, 30
27.9, 31
28.8, 39
29.7, 60

Cell and atoms:
a b c (Å): 4.2317 9.7688 11.1910
angles (deg): 86.31 82.61 82.98
Fractional positions:
P 0.1755 0.0437 0.0463
P 0.8245 0.9563 0.9537
Au 0.4949 0.1555 0.8858
Au 0.5051 0.8445 0.1142
I 0.0098 0.7012 0.2188
I 0.1081 0.7889 0.7778
I 0.4728 0.6152 0.5956
I 0.5272 0.3848 0.4044
I 0.8919 0.2111 0.2222
I 0.9902 0.2988 0.7812

No. 3
Structure and simulated PXRD pattern of P2Au2I (a structure optimized by DFT (PBE); Cu Kα (λ = 1.5418 Å)).
Lines closer than 0.1° are merged.

The 8 most intense peaks (2θ = 5–70°), by angle:
2θ (°), intensity
18.9, 24
32.8, 100
37.9, 42
47.2, 15
54.7, 14
55.0, 18
65.3, 28
65.8, 13

Cell and atoms:
a b c (Å): 4.7433 4.7433 9.4049
angles (deg): 90.00 90.00 90.00
Fractional positions:
P 0.0000 0.0000 0.1200
P 0.0000 0.0000 0.8800
P 0.5000 0.5000 0.3800
P 0.5000 0.5000 0.6200
Au 0.0000 0.5000 0.2500
Au 0.0000 0.5000 0.7500
Au 0.5000 0.0000 0.2500
Au 0.5000 0.0000 0.7500
I 0.0000 0.0000 0.5000
I 0.5000 0.5000 0.0000

No. 4
Structure and simulated PXRD pattern of PbAuI (a structure optimized by DFT (PBE); Cu Kα (λ = 1.5418 Å)).
Lines closer than 0.1° are merged.

The 8 most intense peaks (2θ = 5–70°), by angle:
2θ (°), intensity
7.6, 100
29.0, 92
34.4, 23
39.9, 47
40.6, 14
43.0, 19
50.0, 21
65.8, 18

Cell and atoms:
a b c (Å): 11.9152 11.9152 11.9152
angles (deg): 21.89 21.89 21.89
Fractional positions:
Pb 0.0598 0.0598 0.0598
Pb 0.9402 0.9402 0.9402
Au 0.3486 0.3486 0.3486
Au 0.6514 0.6514 0.6514
I 0.2170 0.2170 0.2170
I 0.7830 0.7830 0.7830

No. 5
Structure and simulated PXRD pattern of PdAuI6 (a structure optimized by DFT (PBE); Cu Kα (λ = 1.5418 Å)).
Lines closer than 0.1° are merged.

The 8 most intense peaks (2θ = 5–70°), by angle:
2θ (°), intensity
12.3, 100
19.3, 58
27.7, 52
30.1, 44
35.0, 23
39.1, 30
42.8, 26
46.1, 23

Cell and atoms:
a b c (Å): 9.2634 11.4108 7.8476
angles (deg): 90.00 95.92 90.00
Fractional positions:
Pd 0.0000 0.0000 0.0000
Pd 0.5000 0.5000 0.0000
Au 0.0000 0.0000 0.5000
Au 0.5000 0.5000 0.5000
I 0.0189 0.1616 0.2402
I 0.0189 0.8384 0.2402
I 0.1509 0.5000 0.0178
I 0.3491 0.0000 0.9822
I 0.4811 0.3384 0.7598
I 0.4811 0.6616 0.7598
I 0.5189 0.3384 0.2402
I 0.5189 0.6616 0.2402
I 0.6509 0.0000 0.0178
I 0.8491 0.5000 0.9822
I 0.9811 0.1616 0.7598
I 0.9811 0.8384 0.7598

No. 6
Structure and simulated PXRD pattern of PdAu2I6 (a structure optimized by DFT (PBE); Cu Kα (λ = 1.5418 Å)).
Lines closer than 0.1° are merged.

The 8 most intense peaks (2θ = 5–70°), by angle:
2θ (°), intensity
12.4, 40
13.4, 40
15.6, 86
16.9, 42
22.8, 100
28.1, 35
31.7, 44
34.1, 38

Cell and atoms:
a b c (Å): 8.1560 8.1560 13.5171
angles (deg): 95.72 95.72 121.63
Fractional positions:
Pd 0.1342 0.8658 0.7500
Pd 0.8658 0.1342 0.2500
Au 0.0611 0.4152 0.8680
Au 0.4152 0.0611 0.3680
Au 0.5848 0.9389 0.6320
Au 0.9389 0.5848 0.1320
I 0.0324 0.4978 0.6780
I 0.0376 0.3202 0.0581
I 0.2318 0.2585 0.3370
I 0.2585 0.2318 0.8370
I 0.3202 0.0376 0.5581
I 0.4978 0.0324 0.1780
I 0.5022 0.9676 0.8220
I 0.6798 0.9624 0.4419
I 0.7415 0.7682 0.1630
I 0.7682 0.7415 0.6630
I 0.9624 0.6798 0.9419
I 0.9676 0.5022 0.3220

No. 7
Structure and simulated PXRD pattern of Pd2Au2I7 (a structure optimized by DFT (PBE); Cu Kα (λ = 1.5418 Å)).
Lines closer than 0.1° are merged.

The 8 most intense peaks (2θ = 5–70°), by angle:
2θ (°), intensity
13.3, 46
17.7, 100
26.5, 32
31.1, 39
32.9, 85
36.6, 32
40.8, 60
42.7, 31

Cell and atoms:
a b c (Å): 7.4527 7.4527 8.1539
angles (deg): 91.28 91.28 116.99
Fractional positions:
Pd 0.1716 0.8284 0.0000
Pd 0.8284 0.1716 0.0000
Au 0.1621 0.1621 0.5909
Au 0.8379 0.8379 0.4091
I 0.1034 0.4616 0.8202
I 0.1181 0.1181 0.2109
I 0.4616 0.1034 0.8202
I 0.5000 0.5000 0.5000
I 0.5384 0.8966 0.1798
I 0.8819 0.8819 0.7891
I 0.8966 0.5384 0.1798